# PmHoTl4
Calculated powder diffraction line list, λ = 1.5418 Å (Cu Kα). Input: the GGA-PBE geometry in Alexandria.
Peak positions follow from Bragg's law for the DFT cell and can differ from measured ones.

Cell and atoms:
```
PmHoTl4
1.0
3.814 0.000 0.000
0.000 5.086 0.000
-0.004 0.000 8.740
Pm Ho Tl
1 1 4
Direct
0.000 0.000 0.000
0.002 0.500 0.500
0.350 0.000 0.337
0.369 0.500 0.830
0.633 0.500 0.171
0.650 0.000 0.663
```

Main lines, low angle first (10 to 80 degrees two-theta):
hkl 1 0 2, 2θ = 31.07°, rel. 100
hkl 0 2 0, 2θ = 35.30°, rel. 24
hkl 0 1 3, 2θ = 35.51°, rel. 48
hkl 1 2 2, 2θ = 47.77°, rel. 21
hkl 1 0 -4, 2θ = 47.98°, rel. 10
hkl 2 1 1, 2θ = 52.31°, rel. 24
hkl 1 3 -1, 2θ = 60.72°, rel. 10
hkl 1 2 -4, 2θ = 60.95°, rel. 10
hkl 1 1 5, 2θ = 61.11°, rel. 10
hkl 0 3 3, 2θ = 63.49°, rel. 9